1.
For Gd3In3NiPtAu, DFT lattice parameters and positions (PBE) gives the simulated powder XRD pattern in this record (Cu Ka).
Kinematic intensities with the Lorentz-polarization factor, no thermal factor.

Peak list (10 most intense, 2θ = 10–90°, most intense first)
- 2θ = 35.5°, rel. 100.0
- 2θ = 32.8°, rel. 77.0
- 2θ = 40.4°, rel. 26.9
- 2θ = 42.7°, rel. 20.0
- 2θ = 65.4°, rel. 19.8
- 2θ = 60.4°, rel. 17.2
- 2θ = 47.2°, rel. 16.6
- 2θ = 63.8°, rel. 13.9
- 2θ = 68.7°, rel. 12.3
- 2θ = 54.9°, rel. 11.3

Structure:
Lattice parameters (Å, degrees): 7.7342 7.7342 3.8529 90.00 90.00 120.00
Element x y z (fractional)
1 Gd 0.0134 0.5981 0.0000
2 Gd 0.4019 0.4154 0.0000
3 Gd 0.5846 0.9866 0.0000
4 In 0.2453 0.0010 0.5000
5 In 0.7557 0.7547 0.5000
6 In 0.9990 0.2443 0.5000
7 Ni 0.0000 0.0000 0.0000
8 Pt 0.3333 0.6667 0.5000
9 Au 0.6667 0.3333 0.5000


2.
For Li4CdSn2S7, DFT lattice parameters and positions (PBE) gives the simulated powder XRD pattern in this record (Cu Ka).
Kinematic intensities with the Lorentz-polarization factor, no thermal factor.

Peak list (10 most intense, 2θ = 10–90°, most intense first)
- 2θ = 25.7°, rel. 100.0
- 2θ = 16.4°, rel. 72.0
- 2θ = 45.2°, rel. 70.0
- 2θ = 27.5°, rel. 51.7
- 2θ = 13.7°, rel. 38.9
- 2θ = 22.1°, rel. 37.9
- 2θ = 19.3°, rel. 36.3
- 2θ = 29.3°, rel. 22.4
- 2θ = 29.2°, rel. 21.3
- 2θ = 49.7°, rel. 20.7

Structure:
Lattice parameters (Å, degrees): 9.4506 9.4506 10.3872 93.61 93.61 43.08
Element x y z (fractional)
1 Li 0.1181 0.4632 0.4300
2 Li 0.1602 0.8398 0.5000
3 Li 0.2519 0.6159 0.1453
4 Li 0.3144 0.9729 0.2213
5 Li 0.4632 0.1181 0.9300
6 Li 0.6159 0.2519 0.6453
7 Li 0.8398 0.1602 0.0000
8 Li 0.9729 0.3144 0.7213
9 Cd 0.5628 0.8724 0.5790
10 Cd 0.8724 0.5628 0.0790
11 Sn 0.0188 0.6999 0.7984
12 Sn 0.4001 0.7482 0.8693
13 Sn 0.6999 0.0188 0.2984
14 Sn 0.7482 0.4001 0.3693
15 S 0.0173 0.3399 0.2778
16 S 0.0604 0.7293 0.3387
17 S 0.1696 0.4849 0.9847
18 S 0.2014 0.8778 0.0565
19 S 0.2999 0.6312 0.7018
20 S 0.3399 0.0173 0.7778
21 S 0.4437 0.7640 0.4111
22 S 0.4849 0.1696 0.4847
23 S 0.5637 0.9485 0.1332
24 S 0.6312 0.2999 0.2018
25 S 0.7293 0.0604 0.8387
26 S 0.7640 0.4437 0.9111
27 S 0.8778 0.2014 0.5565
28 S 0.9485 0.5637 0.6332


3.
For Cd2InSe3, DFT lattice parameters and positions (PBE) gives the simulated powder XRD pattern in this record (Cu Ka).
Kinematic intensities with the Lorentz-polarization factor, no thermal factor.

Peak list (10 most intense, 2θ = 10–90°, most intense first)
- 2θ = 24.4°, rel. 100.0
- 2θ = 40.7°, rel. 49.7
- 2θ = 40.3°, rel. 33.8
- 2θ = 24.6°, rel. 33.6
- 2θ = 47.8°, rel. 31.7
- 2θ = 40.5°, rel. 16.4
- 2θ = 48.0°, rel. 15.6
- 2θ = 73.5°, rel. 10.7
- 2θ = 58.7°, rel. 10.6
- 2θ = 48.1°, rel. 10.0

Structure:
Lattice parameters (Å, degrees): 7.7028 7.7028 7.7569 99.67 99.67 120.25
Element x y z (fractional)
1 Cd 0.0811 0.9189 0.5000
2 Cd 0.2516 0.7531 0.9994
3 Cd 0.7531 0.2516 0.4994
4 Cd 0.9189 0.0811 0.0000
5 In 0.4139 0.5926 0.5003
6 In 0.5926 0.4139 0.0003
7 Se 0.0375 0.2049 0.3709
8 Se 0.2049 0.0375 0.8709
9 Se 0.3713 0.8871 0.3696
10 Se 0.5421 0.7088 0.8802
11 Se 0.7088 0.5421 0.3802
12 Se 0.8871 0.3713 0.8696


4.
For Sm3BS3O3, DFT lattice parameters and positions (PBE) gives the simulated powder XRD pattern in this record (Cu Ka).
Kinematic intensities with the Lorentz-polarization factor, no thermal factor.

Peak list (10 most intense, 2θ = 10–90°, most intense first)
- 2θ = 23.7°, rel. 100.0
- 2θ = 28.5°, rel. 60.0
- 2θ = 24.4°, rel. 52.2
- 2θ = 32.4°, rel. 44.6
- 2θ = 45.1°, rel. 42.5
- 2θ = 23.6°, rel. 36.0
- 2θ = 33.1°, rel. 36.0
- 2θ = 32.1°, rel. 32.2
- 2θ = 23.3°, rel. 31.8
- 2θ = 39.3°, rel. 29.8

Structure:
Lattice parameters (Å, degrees): 4.0240 7.6606 11.2529 91.38 91.10 90.45
Element x y z (fractional)
1 Sm 0.2274 0.2382 0.0056
2 Sm 0.2304 0.6302 0.6761
3 Sm 0.2634 0.1394 0.6477
4 Sm 0.7366 0.8606 0.3523
5 Sm 0.7696 0.3698 0.3239
6 Sm 0.7726 0.7618 0.9944
7 B 0.3903 0.5599 0.1488
8 B 0.6097 0.4401 0.8512
9 S 0.2376 0.6259 0.4182
10 S 0.2519 0.9402 0.8597
11 S 0.2532 0.1158 0.3947
12 S 0.7468 0.8842 0.6053
13 S 0.7481 0.0598 0.1403
14 S 0.7624 0.3741 0.5818
15 O 0.2643 0.6280 0.0451
16 O 0.2782 0.4016 0.1898
17 O 0.3235 0.3631 0.8020
18 O 0.6765 0.6369 0.1980
19 O 0.7218 0.5984 0.8102
20 O 0.7357 0.3720 0.9549


5.
For DyHg3Se4Br, DFT lattice parameters and positions (PBE) gives the simulated powder XRD pattern in this record (Cu Ka).
Kinematic intensities with the Lorentz-polarization factor, no thermal factor.

Peak list (10 most intense, 2θ = 10–90°, most intense first)
- 2θ = 30.2°, rel. 100.0
- 2θ = 32.9°, rel. 98.6
- 2θ = 25.3°, rel. 96.5
- 2θ = 44.5°, rel. 79.2
- 2θ = 20.7°, rel. 47.6
- 2θ = 43.9°, rel. 41.5
- 2θ = 49.7°, rel. 28.5
- 2θ = 39.8°, rel. 27.6
- 2θ = 49.6°, rel. 25.0
- 2θ = 71.0°, rel. 24.9

Structure:
Lattice parameters (Å, degrees): 8.1393 8.1393 8.5962 90.00 90.00 120.00
Element x y z (fractional)
1 Dy 0.0000 0.0000 0.0000
2 Dy 0.0000 0.0000 0.5000
3 Hg 0.0176 0.5088 0.1605
4 Hg 0.4912 0.5088 0.1605
5 Hg 0.4912 0.9824 0.1605
6 Hg 0.5088 0.0176 0.6605
7 Hg 0.5088 0.4912 0.6605
8 Hg 0.9824 0.4912 0.6605
9 Se 0.1422 0.2845 0.7421
10 Se 0.1422 0.8578 0.7421
11 Se 0.2845 0.1422 0.2421
12 Se 0.3333 0.6667 0.9982
13 Se 0.6667 0.3333 0.4982
14 Se 0.7155 0.8578 0.7421
15 Se 0.8578 0.1422 0.2421
16 Se 0.8578 0.7155 0.2421
17 Br 0.3333 0.6667 0.4330
18 Br 0.6667 0.3333 0.9330


6.
For HgF2, DFT lattice parameters and positions (PBE) gives the simulated powder XRD pattern in this record (Cu Ka).
Kinematic intensities with the Lorentz-polarization factor, no thermal factor.

Peak list (10 most intense, 2θ = 10–90°, most intense first)
- 2θ = 27.5°, rel. 100.0
- 2θ = 28.6°, rel. 91.6
- 2θ = 46.6°, rel. 68.6
- 2θ = 32.4°, rel. 42.2
- 2θ = 54.2°, rel. 31.8
- 2θ = 56.1°, rel. 28.5
- 2θ = 32.5°, rel. 20.9
- 2θ = 45.0°, rel. 19.0
- 2θ = 47.9°, rel. 15.8
- 2θ = 55.0°, rel. 15.3

Structure:
Lattice parameters (Å, degrees): 3.7984 4.0257 5.5023 90.00 90.00 90.00
Element x y z (fractional)
1 Hg 0.2500 0.2500 0.2502
2 Hg 0.7500 0.7500 0.7498
3 F 0.2500 0.7500 0.0001
4 F 0.2500 0.7500 0.4965
5 F 0.7500 0.2500 0.9999
6 F 0.7500 0.2500 0.5035


7.
For SrLiLuSe3, DFT lattice parameters and positions (PBE) gives the simulated powder XRD pattern in this record (Cu Ka).
Kinematic intensities with the Lorentz-polarization factor, no thermal factor.

Peak list (10 most intense, 2θ = 10–90°, most intense first)
- 2θ = 30.1°, rel. 100.0
- 2θ = 44.2°, rel. 75.6
- 2θ = 31.7°, rel. 49.7
- 2θ = 36.9°, rel. 35.6
- 2θ = 21.2°, rel. 31.1
- 2θ = 10.4°, rel. 30.8
- 2θ = 31.9°, rel. 29.8
- 2θ = 10.6°, rel. 26.0
- 2θ = 41.8°, rel. 25.5
- 2θ = 21.0°, rel. 22.8

Structure:
Lattice parameters (Å, degrees): 8.9760 8.9760 8.6435 103.82 103.82 26.36
Element x y z (fractional)
1 Sr 0.1345 0.1345 0.0649
2 Sr 0.8655 0.8655 0.9351
3 Li 0.4956 0.4956 0.2996
4 Li 0.5044 0.5044 0.7004
5 Lu 0.1654 0.1654 0.5848
6 Lu 0.8346 0.8346 0.4152
7 Se 0.0000 0.0000 0.5000
8 Se 0.3250 0.3250 0.1901
9 Se 0.3318 0.3318 0.6396
10 Se 0.5000 0.5000 0.0000
11 Se 0.6682 0.6682 0.3604
12 Se 0.6750 0.6750 0.8099


8.
For NiH8Br6N2, DFT lattice parameters and positions (PBE) gives the simulated powder XRD pattern in this record (Cu Ka).
Kinematic intensities with the Lorentz-polarization factor, no thermal factor.

Peak list (10 most intense, 2θ = 10–90°, most intense first)
- 2θ = 30.5°, rel. 100.0
- 2θ = 35.3°, rel. 80.9
- 2θ = 50.8°, rel. 53.2
- 2θ = 17.4°, rel. 51.2
- 2θ = 60.4°, rel. 35.8
- 2θ = 15.1°, rel. 28.2
- 2θ = 39.6°, rel. 27.0
- 2θ = 85.4°, rel. 21.6
- 2θ = 63.4°, rel. 17.3
- 2θ = 82.8°, rel. 14.1

Structure:
Lattice parameters (Å, degrees): 7.1894 7.1894 7.1894 60.00 60.00 60.00
Element x y z (fractional)
1 Ni 0.0000 0.0000 0.0000
2 H 0.0738 0.3087 0.3087
3 H 0.3087 0.0738 0.3087
4 H 0.3087 0.3087 0.0738
5 H 0.3087 0.3087 0.3087
6 H 0.6913 0.6913 0.6913
7 H 0.6913 0.6913 0.9262
8 H 0.6913 0.9262 0.6913
9 H 0.9262 0.6913 0.6913
10 Br 0.2378 0.2378 0.7622
11 Br 0.2378 0.7622 0.2378
12 Br 0.2378 0.7622 0.7622
13 Br 0.7622 0.2378 0.2378
14 Br 0.7622 0.2378 0.7622
15 Br 0.7622 0.7622 0.2378
16 N 0.2500 0.2500 0.2500
17 N 0.7500 0.7500 0.7500


9.
For TbHoB2Ir2C2, DFT lattice parameters and positions (PBE) gives the simulated powder XRD pattern in this record (Cu Ka).
Kinematic intensities with the Lorentz-polarization factor, no thermal factor.

Peak list (10 most intense, 2θ = 10–90°, most intense first)
- 2θ = 35.9°, rel. 100.0
- 2θ = 41.3°, rel. 62.9
- 2θ = 11.4°, rel. 50.4
- 2θ = 34.6°, rel. 44.6
- 2θ = 26.5°, rel. 40.9
- 2θ = 48.8°, rel. 37.1
- 2θ = 61.2°, rel. 34.7
- 2θ = 33.3°, rel. 32.0
- 2θ = 59.0°, rel. 28.3
- 2θ = 82.7°, rel. 18.7

Structure:
Lattice parameters (Å, degrees): 3.7341 3.7341 7.7803 90.00 90.00 90.00
Element x y z (fractional)
1 Tb 0.0000 0.0000 0.0000
2 Ho 0.5000 0.5000 0.3224
3 B 0.0000 0.0000 0.5026
4 B 0.5000 0.5000 0.8216
5 Ir 0.0000 0.5000 0.6613
6 Ir 0.5000 0.0000 0.6613
7 C 0.0000 0.0000 0.3086
8 C 0.5000 0.5000 0.0162


10.
For PrSiAs3Ir6, DFT lattice parameters and positions (PBE) gives the simulated powder XRD pattern in this record (Cu Ka).
Kinematic intensities with the Lorentz-polarization factor, no thermal factor.

Peak list (10 most intense, 2θ = 10–90°, most intense first)
- 2θ = 36.7°, rel. 100.0
- 2θ = 44.7°, rel. 33.9
- 2θ = 45.9°, rel. 21.2
- 2θ = 38.2°, rel. 19.1
- 2θ = 50.7°, rel. 19.0
- 2θ = 43.5°, rel. 18.6
- 2θ = 26.7°, rel. 16.8
- 2θ = 69.9°, rel. 14.4
- 2θ = 70.7°, rel. 14.1
- 2θ = 80.7°, rel. 11.9

Structure:
Lattice parameters (Å, degrees): 7.2048 7.2048 3.9569 90.00 90.00 120.00
Element x y z (fractional)
1 Pr 0.0000 0.0000 0.0000
2 Si 0.3333 0.6667 0.0000
3 As 0.3839 0.1920 0.5000
4 As 0.8080 0.1920 0.5000
5 As 0.8080 0.6161 0.5000
6 Ir 0.2023 0.4047 0.5000
7 Ir 0.2023 0.7977 0.5000
8 Ir 0.5290 0.0580 0.0000
9 Ir 0.5290 0.4710 0.0000
10 Ir 0.5953 0.7977 0.5000
11 Ir 0.9420 0.4710 0.0000


11.
For Nd3MgAgHg3Pd, DFT lattice parameters and positions (PBE) gives the simulated powder XRD pattern in this record (Cu Ka).
Kinematic intensities with the Lorentz-polarization factor, no thermal factor.

Peak list (10 most intense, 2θ = 10–90°, most intense first)
- 2θ = 31.9°, rel. 100.0
- 2θ = 34.4°, rel. 47.9
- 2θ = 38.4°, rel. 38.7
- 2θ = 33.7°, rel. 38.1
- 2θ = 62.2°, rel. 28.9
- 2θ = 41.1°, rel. 19.1
- 2θ = 62.0°, rel. 18.9
- 2θ = 46.7°, rel. 15.9
- 2θ = 58.8°, rel. 15.6
- 2θ = 12.6°, rel. 13.0

Structure:
Lattice parameters (Å, degrees): 8.1296 8.1296 3.8870 90.00 90.00 120.00
Element x y z (fractional)
1 Nd 0.0764 0.3654 0.0000
2 Nd 0.2890 0.9236 0.0000
3 Nd 0.6346 0.7110 0.0000
4 Mg 0.0000 0.0000 0.5000
5 Ag 0.6667 0.3333 0.0000
6 Hg 0.3802 0.3165 0.5000
7 Hg 0.6835 0.0637 0.5000
8 Hg 0.9363 0.6198 0.5000
9 Pd 0.3333 0.6667 0.5000


12.
For Pr2Dy2CI2Cl3, DFT lattice parameters and positions (PBE) gives the simulated powder XRD pattern in this record (Cu Ka).
Kinematic intensities with the Lorentz-polarization factor, no thermal factor.

Peak list (10 most intense, 2θ = 10–90°, most intense first)
- 2θ = 11.0°, rel. 100.0
- 2θ = 31.5°, rel. 91.4
- 2θ = 33.4°, rel. 36.8
- 2θ = 29.1°, rel. 33.1
- 2θ = 33.2°, rel. 27.6
- 2θ = 33.7°, rel. 22.8
- 2θ = 43.0°, rel. 21.8
- 2θ = 40.1°, rel. 21.1
- 2θ = 25.3°, rel. 19.5
- 2θ = 24.0°, rel. 17.8

Structure:
Lattice parameters (Å, degrees): 9.5727 9.5727 8.2272 100.80 100.80 23.69
Element x y z (fractional)
1 Pr 0.0007 0.0007 0.2856
2 Pr 0.9993 0.9993 0.7144
3 Dy 0.3687 0.3687 0.4348
4 Dy 0.6313 0.6313 0.5652
5 C 0.5000 0.5000 0.5000
6 I 0.1758 0.1758 0.3115
7 I 0.8242 0.8242 0.6885
8 Cl 0.1555 0.1555 0.7995
9 Cl 0.5000 0.5000 0.0000
10 Cl 0.8445 0.8445 0.2005


13.
For Na2NbGa2MoOs2, DFT lattice parameters and positions (PBE) gives the simulated powder XRD pattern in this record (Cu Ka).
Kinematic intensities with the Lorentz-polarization factor, no thermal factor.

Peak list (10 most intense, 2θ = 10–90°, most intense first)
- 2θ = 40.5°, rel. 100.0
- 2θ = 24.5°, rel. 45.5
- 2θ = 73.7°, rel. 33.2
- 2θ = 47.9°, rel. 23.1
- 2θ = 58.6°, rel. 16.6
- 2θ = 87.6°, rel. 10.7
- 2θ = 64.5°, rel. 9.6
- 2θ = 79.0°, rel. 7.4
- 2θ = 28.3°, rel. 1.3
- 2θ = 66.4°, rel. 0.6

Structure:
Lattice parameters (Å, degrees): 4.4542 4.4542 6.2972 90.00 90.00 90.00
Element x y z (fractional)
1 Na 0.0000 0.5000 0.2491
2 Na 0.5000 0.0000 0.7509
3 Nb 0.0000 0.0000 0.5000
4 Ga 0.0000 0.0000 0.0000
5 Ga 0.5000 0.5000 0.5000
6 Mo 0.5000 0.5000 0.0000
7 Os 0.0000 0.5000 0.7586
8 Os 0.5000 0.0000 0.2414